Entry 1:
Calculated X-ray diffraction stick pattern of NiP2O7 for Cu Kα (weighted mean of Kα1 and Kα2), from a PBE+U-relaxed structure.

Peak list (10 most intense, 2θ from 15° to 90°, sorted by position)
(hkl)  d/Å  two_theta  I/Imax
0 1 1  5.201  17.0  100
1 1 0  4.084  21.8  25
1 1 -1  3.967  22.4  31
0 2 1  3.483  25.6  11
1 0 1  3.433  26.0  16
1 1 1  3.163  28.2  20
1 2 -1  3.029  29.5  49
1 1 -2  3.005  29.7  24
0 2 2  2.601  34.5  11
1 1 2  2.334  38.6  10

Structural model:
Lattice parameters (Å, degrees): 4.939 8.124 7.077 90.00 106.94 90.00
Space group P2_1 (No. 4)
One atom of each set of equivalent atoms:
Ni1 0.215 0.000 0.225
P1 0.227 0.269 0.600
P2 0.391 0.678 0.016
O1 0.033 0.815 0.337
O2 0.133 0.174 0.407
O3 0.165 0.546 0.975
O4 0.271 0.853 0.008
O5 0.406 0.420 0.586
O6 0.414 0.142 0.762
O7 0.423 0.175 0.124

=====

Entry 2:
Calculated X-ray diffraction stick pattern of Li9Mn2Co5O16 for Cu Kα (weighted mean of Kα1 and Kα2), from a PBE+U-relaxed structure.

Peak list (10 most intense, 2θ from 15° to 90°, sorted by position)
(hkl)  d/Å  two_theta  I/Imax
0 0 2  4.856  18.3  100
2 0 0  2.498  36.0  14
1 2 -1  2.490  36.1  26
1 2 1  2.390  37.6  11
2 0 2  2.082  43.5  27
1 2 -3  2.075  43.6  54
2 0 -4  1.910  47.6  13
1 2 -5  1.606  57.4  10
2 0 -6  1.478  62.9  22
3 2 -1  1.462  63.7  15

Structural model:
Lattice parameters (Å, degrees): 5.068 5.832 9.854 90.00 99.75 90.00
Space group P2 (No. 3)
One atom of each set of equivalent atoms:
Li1 0.000 0.000 0.000
Li2 0.247 0.242 0.241
Li3 0.248 0.001 0.758
Li4 0.248 0.752 0.242
Li5 0.253 0.502 0.757
Mn1 0.500 0.248 0.000
Mn2 0.500 0.999 0.500
Co1 0.000 0.251 0.500
Co2 0.000 0.500 0.000
Co3 0.000 0.747 0.500
Co4 0.500 0.500 0.500
Co5 0.500 0.757 0.000
O1 0.137 0.503 0.386
O2 0.140 0.266 0.893
O3 0.140 0.738 0.887
O4 0.146 0.002 0.387
O5 0.376 0.236 0.610
O6 0.377 0.485 0.115
O7 0.378 0.759 0.613
O8 0.392 0.010 0.115

=====

Entry 3:
Calculated X-ray diffraction stick pattern of Na5CoSO2 for Cu Kα (weighted mean of Kα1 and Kα2), from a PBE+U-relaxed structure.

Peak list (10 most intense, 2θ from 15° to 90°, sorted by position)
(hkl)  d/Å  two_theta  I/Imax
1 0 0  4.610  19.3  52
1 0 1  4.010  22.2  62
1 1 2  2.543  35.3  100
2 0 0  2.305  39.1  66
0 0 4  2.033  44.6  20
2 1 1  1.998  45.4  16
2 2 0  1.630  56.5  20
2 0 4  1.525  60.8  29
3 1 2  1.372  68.4  26
2 2 4  1.272  74.6  14

Structural model:
Lattice parameters (Å, degrees): 4.610 4.610 8.130 90.00 90.00 90.00
Space group P4/mmm (No. 123)
One atom of each set of equivalent atoms:
Na1 0.000 0.000 0.000
Na2 0.000 0.500 0.246
Co1 0.000 0.000 0.500
S1 0.500 0.500 0.000
O1 0.000 0.000 0.282

=====

Entry 4:
Calculated X-ray diffraction stick pattern of CaWF4 for Cu Kα (weighted mean of Kα1 and Kα2), from a PBE+U-relaxed structure.

Peak list (10 most intense, 2θ from 15° to 90°, sorted by position)
(hkl)  d/Å  two_theta  I/Imax
0 0 2  5.734  15.5  27
1 1 0  3.968  22.4  38
1 1 2  3.263  27.3  100
2 0 0  2.806  31.9  20
2 0 2  2.520  35.6  23
1 1 4  2.324  38.8  13
2 0 4  2.005  45.2  37
2 2 0  1.984  45.7  16
1 1 6  1.722  53.2  17
3 1 2  1.695  54.1  32

Structural model:
Lattice parameters (Å, degrees): 5.611 5.611 11.468 90.00 90.00 90.00
Space group I4/mcm (No. 140)
One atom of each set of equivalent atoms:
Ca1 0.000 0.000 0.250
W1 0.000 0.500 0.000
F1 0.181 0.319 0.141

=====

Entry 5:
Calculated X-ray diffraction stick pattern of Mg14FeSnO16 for Cu Kα (weighted mean of Kα1 and Kα2), from a PBE+U-relaxed structure.

Peak list (10 most intense, 2θ from 15° to 90°, sorted by position)
(hkl)  d/Å  two_theta  I/Imax
2 0 0  4.350  20.4  17
1 1 1  3.552  25.1  13
2 2 0  3.076  29.0  14
3 1 0  2.751  32.6  9
2 2 1  2.511  35.8  25
3 1 1  2.325  38.7  9
0 0 2  2.175  41.5  100
4 0 2  1.538  60.2  58
6 2 1  1.311  72.0  14
4 4 2  1.256  75.8  18

Structural model:
Lattice parameters (Å, degrees): 8.699 8.699 4.350 90.00 90.00 90.00
Space group P4/mmm (No. 123)
One atom of each set of equivalent atoms:
Mg1 0.000 0.251 0.000
Mg2 0.000 0.500 0.500
Mg3 0.240 0.500 0.000
Mg4 0.245 0.245 0.500
Fe1 0.000 0.000 0.500
Sn1 0.500 0.500 0.500
O1 0.000 0.000 0.000
O2 0.000 0.252 0.500
O3 0.000 0.500 0.000
O4 0.229 0.500 0.500
O5 0.249 0.249 0.000
O6 0.500 0.500 0.000

=====

Entry 6:
Calculated X-ray diffraction stick pattern of Na13Ni11O24 for Cu Kα (weighted mean of Kα1 and Kα2), from a PBE+U-relaxed structure.

Peak list (10 most intense, 2θ from 15° to 90°, sorted by position)
(hkl)  d/Å  two_theta  I/Imax
1 -1 1  5.305  16.7  100
2 -2 2  2.652  33.8  26
0 3 -1  2.524  35.6  31
3 0 -2  2.452  36.6  33
2 1 1  2.263  39.8  60
1 2 -4  2.141  42.2  93
1 -1 5  1.584  58.3  29
3 3 -3  1.529  60.6  14
-1 4 2  1.527  60.7  14
-4 1 5  1.459  63.8  15

Structural model:
Lattice parameters (Å, degrees): 8.130 8.218 9.049 107.20 102.46 111.59
Space group P-1 (No. 2)
One atom of each set of equivalent atoms:
Na1 0.000 0.000 0.000
Na2 0.081 0.710 0.123
Na3 0.084 0.210 0.617
Na4 0.245 0.121 0.370
Na5 0.254 0.617 0.871
Na6 0.413 0.040 0.121
Na7 0.415 0.539 0.621
Ni1 0.000 0.500 0.500
Ni2 0.162 0.414 0.249
Ni3 0.171 0.916 0.746
Ni4 0.332 0.332 0.998
Ni5 0.334 0.833 0.499
Ni6 0.497 0.749 0.249
O1 0.062 0.587 0.334
O2 0.085 0.105 0.817
O3 0.108 0.332 0.420
O4 0.111 0.804 0.898
O5 0.224 0.498 0.079
O6 0.233 0.004 0.580
O7 0.275 0.747 0.665
O8 0.287 0.264 0.178
O9 0.392 0.919 0.330
O10 0.404 0.425 0.836
O11 0.437 0.663 0.416
O12 0.443 0.167 0.920

=====

Entry 7:
Calculated X-ray diffraction stick pattern of Li4VCrTe2O12 for Cu Kα (weighted mean of Kα1 and Kα2), from a PBE+U-relaxed structure.

Peak list (10 most intense, 2θ from 15° to 90°, sorted by position)
(hkl)  d/Å  two_theta  I/Imax
1 0 1  4.209  21.1  31
1 1 0  3.703  24.0  100
1 -1 0  3.689  24.1  50
1 1 2  2.674  33.5  54
1 -1 2  2.561  35.0  22
1 0 3  2.224  40.6  16
2 0 2  2.105  43.0  17
2 2 0  1.851  49.2  19
1 3 0  1.685  54.5  27
-2 2 2  1.681  54.6  13

Structural model:
Lattice parameters (Å, degrees): 5.112 5.357 7.424 86.41 89.97 89.82
Space group P1 (No. 1)
One atom of each set of equivalent atoms:
Li1 0.000 0.000 0.000
Li2 0.001 0.031 0.530
Li3 0.498 0.498 0.517
Li4 0.503 0.501 0.005
V1 0.997 0.561 0.286
Cr1 0.501 0.067 0.795
Te1 0.501 0.059 0.295
Te2 0.996 0.569 0.787
O1 0.120 0.580 0.058
O2 0.170 0.886 0.748
O3 0.195 0.276 0.363
O4 0.303 0.764 0.367
O5 0.316 0.399 0.744
O6 0.374 0.089 0.054
O7 0.623 0.094 0.535
O8 0.694 0.390 0.240
O9 0.703 0.759 0.868
O10 0.814 0.271 0.865
O11 0.820 0.886 0.236
O12 0.876 0.581 0.538